[1]
Diffraction record for Sm2ErAl7Cu2. The XRD peak list is computed, not measured: it uses a GGA-PBE-relaxed structure and copper Kα.

Cell and atoms:
```
data_Sm2ErAl7Cu2
_chemical_formula_sum 'Sm6 Er3 Al21 Cu6'
_cell_length_a 5.5324
_cell_length_b 5.5324
_cell_length_c 25.6161
_cell_angle_alpha 90.00
_cell_angle_beta 90.00
_cell_angle_gamma 120.00
_symmetry_space_group_name_H-M 'R -3 m'
_symmetry_Int_Tables_number 166
_symmetry_space_group_name_Hall '-R 3 2"'
loop_
_atom_site_label
_atom_site_fract_x
_atom_site_fract_y
_atom_site_fract_z
Sm1 0.0000 0.0000 0.1417
Er1 0.0000 0.0000 0.0000
Al1 0.0000 0.0000 0.5000
Al2 0.0059 0.5030 0.9222
Cu1 0.0000 0.0000 0.3353
```

Most intense lines, 2θ from 10° to 90°, sorted by position:
(hkl)  d [Å]  intensity
1 0 1  4.710  42
0 0 6  4.269  31
1 0 7  2.908  50
1 1 0  2.766  87
0 1 8  2.662  34
0 2 1  2.385  27
1 1 6  2.322  100
3 0 6  1.496  25
2 0 14  1.454  27
2 2 0  1.383  19

---

[2]
Diffraction record for KAlCuF6. The XRD peak list is computed, not measured: it uses a GGA-PBE-relaxed structure and copper Kα.

Cell and atoms:
```
data_KAlCuF6
_chemical_formula_sum 'K4 Al4 Cu4 F24'
_cell_length_a 6.5292
_cell_length_b 6.8947
_cell_length_c 9.4839
_cell_angle_alpha 90.00
_cell_angle_beta 90.00
_cell_angle_gamma 90.00
_symmetry_space_group_name_H-M 'P n m a'
_symmetry_Int_Tables_number 62
_symmetry_space_group_name_Hall '-P 2ac 2n'
loop_
_atom_site_label
_atom_site_fract_x
_atom_site_fract_y
_atom_site_fract_z
K1 0.0202 0.2500 0.1207
Al1 0.0000 0.0000 0.5000
Cu1 0.1795 0.2500 0.7628
F1 0.0762 0.2500 0.4924
F2 0.0810 0.7500 0.1566
F3 0.1113 0.5212 0.6736
F4 0.2464 0.5554 0.4271
```

Most intense lines, 2θ from 10° to 90°, sorted by position:
(hkl)  d [Å]  intensity
0 1 1  5.577  100
2 0 1  3.087  31
1 2 1  2.902  52
0 1 3  2.874  41
1 0 3  2.845  24
2 1 1  2.817  54
0 2 2  2.788  33
0 3 3  1.859  26
0 4 0  1.724  26
2 2 4  1.676  26

---

[3]
Diffraction record for Na2AlCuF7. The XRD peak list is computed, not measured: it uses a GGA-PBE-relaxed structure and copper Kα.

Cell and atoms:
```
data_Na2AlCuF7
_chemical_formula_sum 'Na8 Al4 Cu4 F28'
_cell_length_a 6.9123
_cell_length_b 9.9611
_cell_length_c 7.2141
_cell_angle_alpha 90.00
_cell_angle_beta 90.00
_cell_angle_gamma 90.00
_symmetry_space_group_name_H-M 'I m m a'
_symmetry_Int_Tables_number 74
_symmetry_space_group_name_Hall '-I 2b 2'
loop_
_atom_site_label
_atom_site_fract_x
_atom_site_fract_y
_atom_site_fract_z
Na1 0.0000 0.0000 0.0000
Na2 0.2500 0.2500 0.2500
Al1 0.0000 0.0000 0.5000
Cu1 0.2500 0.2500 0.7500
F1 0.0000 0.0849 0.2731
F2 0.0000 0.2500 0.8672
F3 0.1932 0.1122 0.5583
```

Most intense lines, 2θ from 10° to 90°, sorted by position:
(hkl)  d [Å]  intensity
0 1 1  5.843  96
0 3 1  3.016  32
2 1 1  2.975  45
0 2 2  2.921  100
2 2 0  2.839  88
2 2 2  2.230  27
0 3 3  1.948  24
2 4 2  1.763  89
4 0 0  1.728  23
2 2 4  1.522  40